[1]
This entry pairs a crystal structure of SrSnB2O6 with its theoretical X-ray diffraction stick pattern. Radiation: Cu Kα X-rays. Structure: a cell relaxed with GGA-PBE.
Lines closer than 0.1° are merged.

Structure:
```
data_SrSnB2O6
_chemical_formula_sum 'Sr1 Sn1 B2 O6'
_cell_length_a 6.3909
_cell_length_b 6.3909
_cell_length_c 6.3909
_cell_angle_alpha 46.05
_cell_angle_beta 46.05
_cell_angle_gamma 46.05
_symmetry_space_group_name_H-M 'P 1'
_symmetry_Int_Tables_number 1
_symmetry_space_group_name_Hall 'P 1'
loop_
_atom_site_label
_atom_site_fract_x
_atom_site_fract_y
_atom_site_fract_z
Sr1 0.0000 0.0000 0.0000
Sn1 0.5000 0.5000 0.5000
B1 0.2350 0.2350 0.2350
B2 0.7650 0.7650 0.7650
O1 0.0577 0.7181 0.5086
O2 0.2819 0.4914 0.9423
O3 0.4914 0.9423 0.2819
O4 0.5086 0.0577 0.7181
O5 0.7181 0.5086 0.0577
O6 0.9423 0.2819 0.4914
```

Largest 10 diffraction maxima, sorted by position, 10° ≤ 2θ ≤ 90°:
d = 3.863 Å, intensity 82.2; d = 3.043 Å, intensity 100.0; d = 2.500 Å, intensity 31.8; d = 2.099 Å, intensity 27.4; d = 1.931 Å, intensity 15.1; d = 1.917 Å, intensity 22.8; d = 1.880 Å, intensity 43.3; d = 1.607 Å, intensity 22.0; d = 1.528 Å, intensity 18.6; d = 1.443 Å, intensity 11.6


[2]
This entry pairs a crystal structure of Sr2B2O5 with its theoretical X-ray diffraction stick pattern. Radiation: Cu Kα X-rays. Structure: a cell relaxed with GGA-PBE.
Lines closer than 0.1° are merged.

Structure:
```
data_Sr2B2O5
_chemical_formula_sum 'Sr8 B8 O20'
_cell_length_a 7.8301
_cell_length_b 5.3923
_cell_length_c 12.0549
_cell_angle_alpha 90.00
_cell_angle_beta 92.02
_cell_angle_gamma 90.00
_symmetry_space_group_name_H-M 'P 1'
_symmetry_Int_Tables_number 1
_symmetry_space_group_name_Hall 'P 1'
loop_
_atom_site_label
_atom_site_fract_x
_atom_site_fract_y
_atom_site_fract_z
Sr1 0.1172 0.0533 0.3670
Sr2 0.1172 0.4467 0.8670
Sr3 0.3775 0.5910 0.1606
Sr4 0.3775 0.9090 0.6606
Sr5 0.6225 0.0910 0.3394
Sr6 0.6225 0.4090 0.8394
Sr7 0.8828 0.5533 0.1330
Sr8 0.8828 0.9467 0.6330
B1 0.1630 0.0495 0.0843
B2 0.1630 0.4505 0.5843
B3 0.3398 0.5716 0.4043
B4 0.3398 0.9284 0.9043
B5 0.6602 0.0716 0.0957
B6 0.6602 0.4284 0.5957
B7 0.8370 0.5495 0.4157
B8 0.8370 0.9505 0.9157
O1 0.1013 0.5908 0.6690
O2 0.1013 0.9092 0.1690
O3 0.1466 0.1995 0.5714
O4 0.1466 0.3005 0.0714
O5 0.2580 0.6000 0.5077
O6 0.2580 0.9000 0.0077
O7 0.3554 0.1493 0.8509
O8 0.3554 0.3507 0.3509
O9 0.3897 0.7095 0.8576
O10 0.3897 0.7905 0.3576
O11 0.6103 0.2095 0.6424
O12 0.6103 0.2905 0.1424
O13 0.6446 0.6493 0.6491
O14 0.6446 0.8507 0.1491
O15 0.7420 0.1000 0.9923
O16 0.7420 0.4000 0.4923
O17 0.8534 0.6995 0.9286
O18 0.8534 0.8005 0.4286
O19 0.8987 0.0908 0.8310
O20 0.8987 0.4092 0.3310
```

Largest 10 diffraction maxima, sorted by position, 10° ≤ 2θ ≤ 90°:
d = 4.922 Å, intensity 37.8; d = 3.335 Å, intensity 30.6; d = 3.222 Å, intensity 75.5; d = 3.167 Å, intensity 32.9; d = 3.085 Å, intensity 51.7; d = 3.041 Å, intensity 100.0; d = 3.012 Å, intensity 52.2; d = 2.630 Å, intensity 24.6; d = 1.956 Å, intensity 28.0; d = 1.927 Å, intensity 29.6


[3]
This entry pairs a crystal structure of SrB2O8 with its theoretical X-ray diffraction stick pattern. Radiation: Cu Kα X-rays. Structure: a cell relaxed with GGA-PBE.
Lines closer than 0.1° are merged.

Structure:
```
data_SrB2O8
_chemical_formula_sum 'Sr2 B4 O16'
_cell_length_a 6.2963
_cell_length_b 7.5312
_cell_length_c 7.7419
_cell_angle_alpha 69.61
_cell_angle_beta 68.64
_cell_angle_gamma 69.31
_symmetry_space_group_name_H-M 'P 1'
_symmetry_Int_Tables_number 1
_symmetry_space_group_name_Hall 'P 1'
loop_
_atom_site_label
_atom_site_fract_x
_atom_site_fract_y
_atom_site_fract_z
Sr1 0.1725 0.2984 0.2652
Sr2 0.8275 0.7016 0.7348
B1 0.1736 0.7561 0.9671
B2 0.4034 0.7605 0.4566
B3 0.5966 0.2395 0.5434
B4 0.8264 0.2439 0.0329
O1 0.0037 0.1193 0.1282
O2 0.0647 0.6873 0.1667
O3 0.2132 0.5785 0.9038
O4 0.2321 0.6642 0.4819
O5 0.2800 0.9546 0.4865
O6 0.3972 0.7881 0.9206
O7 0.4183 0.3328 0.4450
O8 0.4803 0.1771 0.7490
O9 0.5197 0.8229 0.2510
O10 0.5817 0.6672 0.5550
O11 0.6028 0.2119 0.0794
O12 0.7200 0.0454 0.5135
O13 0.7679 0.3358 0.5181
O14 0.7868 0.4215 0.0962
O15 0.9353 0.3127 0.8333
O16 0.9963 0.8807 0.8718
```

Largest 10 diffraction maxima, sorted by position, 10° ≤ 2θ ≤ 90°:
d = 5.641 Å, intensity 100.0; d = 4.358 Å, intensity 46.4; d = 3.903 Å, intensity 72.2; d = 3.717 Å, intensity 81.6; d = 3.409 Å, intensity 63.4; d = 3.333 Å, intensity 28.0; d = 3.139 Å, intensity 41.5; d = 2.660 Å, intensity 84.3; d = 2.423 Å, intensity 35.1; d = 2.403 Å, intensity 33.8


[4]
This entry pairs a crystal structure of SrB12O7 with its theoretical X-ray diffraction stick pattern. Radiation: Cu Kα X-rays. Structure: a cell relaxed with GGA-PBE.
Lines closer than 0.1° are merged.

Structure:
```
data_SrB12O7
_chemical_formula_sum 'Sr1 B12 O7'
_cell_length_a 6.5052
_cell_length_b 6.5052
_cell_length_c 6.5052
_cell_angle_alpha 82.59
_cell_angle_beta 82.59
_cell_angle_gamma 82.59
_symmetry_space_group_name_H-M 'P 1'
_symmetry_Int_Tables_number 1
_symmetry_space_group_name_Hall 'P 1'
loop_
_atom_site_label
_atom_site_fract_x
_atom_site_fract_y
_atom_site_fract_z
Sr1 0.0000 0.0000 0.0000
B1 0.2546 0.4776 0.6963
B2 0.4017 0.6209 0.4874
B3 0.4242 0.8507 0.6590
B4 0.4776 0.6963 0.2546
B5 0.4874 0.4017 0.6209
B6 0.5722 0.7110 0.8615
B7 0.6209 0.4874 0.4017
B8 0.6590 0.4242 0.8507
B9 0.6963 0.2546 0.4776
B10 0.7110 0.8615 0.5722
B11 0.8507 0.6590 0.4242
B12 0.8615 0.5722 0.7110
O1 0.0619 0.4873 0.7820
O2 0.2555 0.9809 0.6898
O3 0.4873 0.7820 0.0619
O4 0.6898 0.2555 0.9809
O5 0.7820 0.0619 0.4873
O6 0.7892 0.7892 0.7892
O7 0.9809 0.6898 0.2555
```

Largest 10 diffraction maxima, sorted by position, 10° ≤ 2θ ≤ 90°:
d = 6.409 Å, intensity 100.0; d = 4.815 Å, intensity 62.5; d = 4.293 Å, intensity 33.7; d = 4.212 Å, intensity 21.6; d = 3.007 Å, intensity 70.1; d = 2.908 Å, intensity 48.5; d = 2.744 Å, intensity 39.7; d = 2.568 Å, intensity 23.2; d = 2.479 Å, intensity 41.4; d = 2.035 Å, intensity 22.7


Please write out number 3 again, unchanged.
This entry pairs a crystal structure of SrB2O8 with its theoretical X-ray diffraction stick pattern. Radiation: Cu Kα X-rays. Structure: a cell relaxed with GGA-PBE.
Lines closer than 0.1° are merged.

Structure:
```
data_SrB2O8
_chemical_formula_sum 'Sr2 B4 O16'
_cell_length_a 6.2963
_cell_length_b 7.5312
_cell_length_c 7.7419
_cell_angle_alpha 69.61
_cell_angle_beta 68.64
_cell_angle_gamma 69.31
_symmetry_space_group_name_H-M 'P 1'
_symmetry_Int_Tables_number 1
_symmetry_space_group_name_Hall 'P 1'
loop_
_atom_site_label
_atom_site_fract_x
_atom_site_fract_y
_atom_site_fract_z
Sr1 0.1725 0.2984 0.2652
Sr2 0.8275 0.7016 0.7348
B1 0.1736 0.7561 0.9671
B2 0.4034 0.7605 0.4566
B3 0.5966 0.2395 0.5434
B4 0.8264 0.2439 0.0329
O1 0.0037 0.1193 0.1282
O2 0.0647 0.6873 0.1667
O3 0.2132 0.5785 0.9038
O4 0.2321 0.6642 0.4819
O5 0.2800 0.9546 0.4865
O6 0.3972 0.7881 0.9206
O7 0.4183 0.3328 0.4450
O8 0.4803 0.1771 0.7490
O9 0.5197 0.8229 0.2510
O10 0.5817 0.6672 0.5550
O11 0.6028 0.2119 0.0794
O12 0.7200 0.0454 0.5135
O13 0.7679 0.3358 0.5181
O14 0.7868 0.4215 0.0962
O15 0.9353 0.3127 0.8333
O16 0.9963 0.8807 0.8718
```

Largest 10 diffraction maxima, sorted by position, 10° ≤ 2θ ≤ 90°:
d = 5.641 Å, intensity 100.0; d = 4.358 Å, intensity 46.4; d = 3.903 Å, intensity 72.2; d = 3.717 Å, intensity 81.6; d = 3.409 Å, intensity 63.4; d = 3.333 Å, intensity 28.0; d = 3.139 Å, intensity 41.5; d = 2.660 Å, intensity 84.3; d = 2.423 Å, intensity 35.1; d = 2.403 Å, intensity 33.8


Which formula does entry 2 have? Sr2B2O5